This entry pairs a crystal structure of CaNb2Te4Cl10O with its calculated XRD peak list. Radiation: a wavelength of 1.5418 Å. Structure: DFT lattice parameters and positions (PBE).
Intensities are scaled so that the largest is 100.

Structure:
a b c (Å): 7.190 8.943 9.855
angles (deg): 93.21 92.49 106.90
Atoms (fractional coordinates):
Ca: 0.000 0.000 0.000
Nb: 0.405 0.198 0.800
Nb: 0.442 0.920 0.081
Te: 0.093 0.642 0.605
Te: 0.712 0.480 0.298
Te: 0.822 0.749 0.467
Te: 0.985 0.373 0.436
Cl: 0.062 0.007 0.724
Cl: 0.130 0.736 0.994
Cl: 0.203 0.307 0.951
Cl: 0.262 0.053 0.229
Cl: 0.355 0.377 0.633
Cl: 0.460 0.747 0.260
Cl: 0.522 0.056 0.638
Cl: 0.631 0.797 0.932
Cl: 0.696 0.377 0.882
Cl: 0.762 0.109 0.171
O: 0.415 0.058 0.942

Peak list (12 most intense, 2θ = 10–90°, sorted by position)
- (0 1 -1), 2θ = 13.25°, intensity 36.8
- (1 -1 0), 2θ = 13.98°, intensity 26.9
- (0 1 1), 2θ = 14.23°, intensity 67.0
- (1 0 -1), 2θ = 15.28°, intensity 100.0
- (1 1 -1), 2θ = 20.21°, intensity 86.6
- (1 0 -2), 2θ = 21.57°, intensity 58.0
- (1 -1 2), 2θ = 22.95°, intensity 25.3
- (1 1 -2), 2θ = 25.08°, intensity 25.6
- (-1 2 2), 2θ = 28.32°, intensity 26.0
- (2 -2 1), 2θ = 29.67°, intensity 21.4
- (1 3 0), 2θ = 37.62°, intensity 38.3
- (1 -3 3), 2θ = 40.12°, intensity 34.0

---

This entry pairs a crystal structure of Re3BRu with its calculated XRD peak list. Radiation: a wavelength of 1.5418 Å. Structure: DFT lattice parameters and positions (PBE).
Intensities are scaled so that the largest is 100.

Structure:
a b c (Å): 6.554 5.036 8.515
angles (deg): 90.00 108.83 90.00
Atoms (fractional coordinates):
Re: 0.013 0.061 0.178
Re: 0.013 0.439 0.678
Re: 0.206 0.511 0.051
Re: 0.206 0.989 0.551
Re: 0.385 0.686 0.810
Re: 0.385 0.814 0.310
Re: 0.615 0.186 0.690
Re: 0.615 0.314 0.190
Re: 0.794 0.011 0.449
Re: 0.794 0.489 0.949
Re: 0.987 0.561 0.322
Re: 0.987 0.939 0.822
B: 0.265 0.521 0.559
B: 0.265 0.979 0.059
B: 0.735 0.021 0.941
B: 0.735 0.479 0.441
Ru: 0.376 0.180 0.882
Ru: 0.376 0.320 0.382
Ru: 0.624 0.680 0.618
Ru: 0.624 0.820 0.118

Peak list (12 most intense, 2θ = 10–90°, sorted by position)
- (0 1 1), 2θ = 20.80°, intensity 14.7
- (2 1 -1), 2θ = 32.65°, intensity 19.5
- (2 1 -2), 2θ = 35.13°, intensity 33.0
- (1 1 -3), 2θ = 36.53°, intensity 86.4
- (0 1 3), 2θ = 37.96°, intensity 24.4
- (1 2 0), 2θ = 38.63°, intensity 74.5
- (1 2 1), 2θ = 41.58°, intensity 43.1
- (2 0 2), 2θ = 42.15°, intensity 100.0
- (1 0 -4), 2θ = 42.47°, intensity 15.5
- (3 1 -1), 2θ = 45.34°, intensity 28.6
- (1 2 2), 2θ = 47.35°, intensity 45.1
- (0 1 4), 2θ = 48.69°, intensity 22.9